This entry pairs a crystal structure of DyInO3 with its theoretical X-ray diffraction stick pattern. Radiation: Cu Ka. Structure: a structure optimized by DFT (PBE).
Peak positions follow from Bragg's law for the DFT cell and can differ from measured ones.

Cell and atoms:
Cell lengths 5.867, 8.191, 5.522 Å; angles 90.00, 90.00, 90.00 degrees
Fractional positions:
1 Dy 0.065 0.250 0.021
2 Dy 0.435 0.750 0.521
3 Dy 0.565 0.250 0.479
4 Dy 0.935 0.750 0.979
5 In 0.000 0.000 0.500
6 In 0.000 0.500 0.500
7 In 0.500 0.000 0.000
8 In 0.500 0.500 0.000
9 O 0.072 0.750 0.354
10 O 0.187 0.574 0.817
11 O 0.187 0.926 0.817
12 O 0.313 0.074 0.317
13 O 0.313 0.426 0.317
14 O 0.428 0.250 0.854
15 O 0.572 0.750 0.146
16 O 0.687 0.574 0.683
17 O 0.687 0.926 0.683
18 O 0.813 0.074 0.183
19 O 0.813 0.426 0.183
20 O 0.928 0.250 0.646

Principal peaks in the range 2θ from 10° to 90°, in order of rising 2θ:
- 2θ = 24.66°, rel. 11.0
- 2θ = 30.47°, rel. 19.3
- 2θ = 31.17°, rel. 100.0
- 2θ = 32.43°, rel. 27.6
- 2θ = 44.23°, rel. 12.3
- 2θ = 45.10°, rel. 15.8
- 2θ = 50.77°, rel. 11.1
- 2θ = 54.63°, rel. 19.2
- 2θ = 55.90°, rel. 11.3
- 2θ = 57.06°, rel. 20.6
- 2θ = 65.01°, rel. 8.9
- 2θ = 73.22°, rel. 10.1